This entry pairs a crystal structure of La3MoO7 with its theoretical X-ray powder pattern. Radiation: copper Kα. Structure: a PBE+U-relaxed structure.

Most intense lines, 10 to 90 degrees two-theta, low angle first:
(2 1 0), 2θ 25.7, intensity 7; (0 2 2), 2θ 28.0, intensity 100; (0 0 4), 2θ 32.1, intensity 11; (2 2 0), 2θ 32.6, intensity 22; (2 2 4), 2θ 46.4, intensity 24; (0 4 0), 2θ 46.8, intensity 12; (0 2 6), 2θ 54.7, intensity 9; (2 4 2), 2θ 55.4, intensity 19

Structural model:
```
data_La3MoO7
_chemical_formula_sum 'La12 Mo4 O28'
_cell_length_a 7.762
_cell_length_b 7.772
_cell_length_c 11.156
_cell_angle_alpha 90.00
_cell_angle_beta 90.00
_cell_angle_gamma 90.00
_space_group_name_H-M_alt 'P 21 21 21'
_space_group_IT_number 19
loop_
_space_group_symop_operation_xyz
'x,y,z'
'-x+1/2,-y,z+1/2'
'x+1/2,-y+1/2,-z'
'-x,y+1/2,-z+1/2'
loop_
_atom_site_label
_atom_site_fract_x
_atom_site_fract_y
_atom_site_fract_z
La1 0.037 0.011 0.248
La2 0.199 0.252 0.521
La3 0.205 0.248 0.969
Mo1 0.001 0.502 0.750
O1 0.013 0.760 0.382
O2 0.031 0.752 0.117
O3 0.084 0.255 0.747
O4 0.135 0.548 0.611
O5 0.175 0.537 0.878
O6 0.184 0.964 0.628
O7 0.209 0.964 0.872
```